Entry 1:
Starting from a crystal structure in Alexandria, relaxed with GGA-PBE, the powder XRD pattern of Pm5Pr3Y3 was computed for copper Kα.
Peak positions follow from Bragg's law for the DFT cell and can differ from measured ones.

Lattice parameters (Å, degrees): 9.764 9.764 5.567 90.00 90.00 120.00
Positions (direct):
Pm  0.000  0.269  0.000
Pm  0.269  0.000  0.000
Pm  0.333  0.667  0.000
Pm  0.667  0.333  0.000
Pm  0.731  0.731  0.000
Pr  0.000  0.640  0.000
Pr  0.360  0.360  0.000
Pr  0.640  0.000  0.000
Y  0.000  0.470  0.500
Y  0.470  0.000  0.500
Y  0.530  0.530  0.500

The 12 most intense peaks (2θ = 10–80°), by intensity:
d (Å), Rel. int.
2.515, 100
5.567, 96
2.819, 52
2.772, 52
3.367, 47
2.784, 46
1.981, 38
3.196, 36
8.456, 24
1.536, 23
1.550, 23
2.099, 22

Entry 2:
Starting from a crystal structure in Alexandria, relaxed with GGA-PBE, the powder XRD pattern of Pm6Pr3Y2 was computed for copper Kα.
Peak positions follow from Bragg's law for the DFT cell and can differ from measured ones.

Lattice parameters (Å, degrees): 32.891 32.891 32.891 6.37 6.37 6.37
Positions (direct):
Pm  0.092  0.092  0.092
Pm  0.182  0.182  0.182
Pm  0.364  0.364  0.364
Pm  0.636  0.636  0.636
Pm  0.818  0.818  0.818
Pm  0.908  0.908  0.908
Pr  0.000  0.000  0.000
Pr  0.272  0.272  0.272
Pr  0.728  0.728  0.728
Y  0.455  0.455  0.455
Y  0.545  0.545  0.545

The 9 most intense peaks (2θ = 10–80°), by intensity:
d (Å), Rel. int.
2.984, 100
2.584, 51
1.558, 42
1.827, 36
1.492, 12
1.292, 6
8.206, 1
3.161, 1
2.701, 1

Entry 3:
Starting from a crystal structure in Alexandria, relaxed with GGA-PBE, the powder XRD pattern of Pm5PrY8 was computed for copper Kα.
Peak positions follow from Bragg's law for the DFT cell and can differ from measured ones.

Lattice parameters (Å, degrees): 8.536 8.536 8.536 111.29 111.29 105.89
Positions (direct):
Pm  0.000  0.000  0.000
Pm  0.211  0.314  0.676
Pm  0.465  0.789  0.103
Pm  0.638  0.535  0.324
Pm  0.686  0.362  0.897
Pr  0.250  0.750  0.500
Y  0.163  0.422  0.092
Y  0.330  0.071  0.908
Y  0.423  0.173  0.395
Y  0.578  0.670  0.741
Y  0.777  0.028  0.605
Y  0.827  0.223  0.251
Y  0.929  0.837  0.259
Y  0.972  0.577  0.749

The 12 most intense peaks (2θ = 10–80°), by intensity:
d (Å), Rel. int.
2.683, 100
3.047, 79
3.065, 71
3.230, 58
2.586, 50
2.621, 41
3.974, 29
1.494, 23
2.154, 22
2.840, 21
1.680, 20
1.523, 19

Entry 4:
Starting from a crystal structure in Alexandria, relaxed with GGA-PBE, the powder XRD pattern of Pm2PrY7 was computed for copper Kα.
Peak positions follow from Bragg's law for the DFT cell and can differ from measured ones.

Lattice parameters (Å, degrees): 6.227 7.212 8.028 77.25 75.19 73.42
Positions (direct):
Pm  0.198  0.300  0.100
Pm  0.802  0.700  0.900
Pr  0.000  0.000  0.500
Y  0.000  0.500  0.500
Y  0.200  0.799  0.101
Y  0.400  0.600  0.701
Y  0.401  0.100  0.700
Y  0.599  0.900  0.300
Y  0.600  0.400  0.299
Y  0.800  0.201  0.899

The 12 most intense peaks (2θ = 10–80°), by intensity:
d (Å), Rel. int.
2.941, 100
2.548, 45
2.934, 33
1.802, 31
1.536, 23
2.540, 22
1.533, 18
1.468, 12
1.539, 9
1.797, 8
1.795, 8
1.530, 5

Please write out number 1 again, unchanged.
Starting from a crystal structure in Alexandria, relaxed with GGA-PBE, the powder XRD pattern of Pm5Pr3Y3 was computed for copper Kα.
Peak positions follow from Bragg's law for the DFT cell and can differ from measured ones.

Lattice parameters (Å, degrees): 9.764 9.764 5.567 90.00 90.00 120.00
Positions (direct):
Pm  0.000  0.269  0.000
Pm  0.269  0.000  0.000
Pm  0.333  0.667  0.000
Pm  0.667  0.333  0.000
Pm  0.731  0.731  0.000
Pr  0.000  0.640  0.000
Pr  0.360  0.360  0.000
Pr  0.640  0.000  0.000
Y  0.000  0.470  0.500
Y  0.470  0.000  0.500
Y  0.530  0.530  0.500

The 12 most intense peaks (2θ = 10–80°), by intensity:
d (Å), Rel. int.
2.515, 100
5.567, 96
2.819, 52
2.772, 52
3.367, 47
2.784, 46
1.981, 38
3.196, 36
8.456, 24
1.536, 23
1.550, 23
2.099, 22

What is the formula in the fourth record?
Pm2PrY7